[1]
This entry pairs a crystal structure of Mg3AlW with its calculated X-ray diffraction stick pattern. Radiation: Cu Kα (weighted mean of Kα1 and Kα2). Structure: the GGA-PBE geometry in Alexandria.

Peak list (6 most intense, 2θ = 10–90°, low angle first)
| two_theta | I/Imax | (hkl) |
| --- | --- | --- |
| 16.85 | 100 | 1 0 0 |
| 23.92 | 92 | 1 1 0 |
| 34.09 | 46 | 2 0 0 |
| 38.26 | 53 | 2 1 0 |
| 42.08 | 42 | 2 1 1 |
| 48.98 | 33 | 2 2 0 |

Cell and atoms:
```
data_Mg3AlW
_space_group_name_H-M_alt 'P m -3 m'
_space_group_IT_number 221
_space_group_name_Hall '-P 4 2 3'
_cell_length_a 5.2603
_cell_length_b 5.2603
_cell_length_c 5.2603
_cell_angle_alpha 90.00
_cell_angle_beta 90.00
_cell_angle_gamma 90.00
loop_
_atom_site_label
_atom_site_fract_x
_atom_site_fract_y
_atom_site_fract_z
Mg1 0.0000 0.0000 0.5000
Al1 0.5000 0.5000 0.5000
W1 0.0000 0.0000 0.0000
```

[2]
This entry pairs a crystal structure of ZrBIrRu2 with its calculated X-ray diffraction stick pattern. Radiation: Cu Kα (weighted mean of Kα1 and Kα2). Structure: the GGA-PBE geometry in Alexandria.

Peak list (6 most intense, 2θ = 10–90°, low angle first)
| two_theta | I/Imax | (hkl) |
| --- | --- | --- |
| 37.61 | 100 | 1 1 1 |
| 43.55 | 35 | 2 0 0 |
| 44.00 | 17 | 0 0 2 |
| 63.64 | 22 | 2 0 2 |
| 76.01 | 25 | 3 1 1 |
| 76.66 | 12 | 1 1 3 |

Cell and atoms:
```
data_ZrBIrRu2
_space_group_name_H-M_alt 'P 4/m m m'
_space_group_IT_number 123
_space_group_name_Hall '-P 4 2'
_cell_length_a 4.1561
_cell_length_b 4.1561
_cell_length_c 4.1155
_cell_angle_alpha 90.00
_cell_angle_beta 90.00
_cell_angle_gamma 90.00
loop_
_atom_site_label
_atom_site_fract_x
_atom_site_fract_y
_atom_site_fract_z
Zr1 0.0000 0.0000 0.0000
B1 0.5000 0.5000 0.5000
Ir1 0.5000 0.5000 0.0000
Ru1 0.0000 0.5000 0.5000
```

[3]
This entry pairs a crystal structure of SrP2Pd4Pb with its calculated X-ray diffraction stick pattern. Radiation: Cu Kα (weighted mean of Kα1 and Kα2). Structure: the GGA-PBE geometry in Alexandria.

Peak list (6 most intense, 2θ = 10–90°, low angle first)
| two_theta | I/Imax | (hkl) |
| --- | --- | --- |
| 21.84 | 22 | 1 0 0 |
| 28.38 | 48 | 1 0 2 |
| 36.09 | 100 | 1 1 2 |
| 41.62 | 36 | 1 1 3 |
| 44.53 | 41 | 2 0 0 |
| 76.50 | 29 | 3 1 2 |

Cell and atoms:
```
data_SrP2Pd4Pb
_space_group_name_H-M_alt 'P 4/m m m'
_space_group_IT_number 123
_space_group_name_Hall '-P 4 2'
_cell_length_a 4.0696
_cell_length_b 4.0696
_cell_length_c 9.9124
_cell_angle_alpha 90.00
_cell_angle_beta 90.00
_cell_angle_gamma 90.00
loop_
_atom_site_label
_atom_site_fract_x
_atom_site_fract_y
_atom_site_fract_z
Sr1 0.0000 0.0000 0.0000
P1 0.5000 0.5000 0.1679
Pd1 0.0000 0.5000 0.2896
Pb1 0.0000 0.0000 0.5000
```

[4]
This entry pairs a crystal structure of SmMg3Zn3 with its calculated X-ray diffraction stick pattern. Radiation: Cu Kα (weighted mean of Kα1 and Kα2). Structure: the GGA-PBE geometry in Alexandria.

Peak list (6 most intense, 2θ = 10–90°, low angle first)
| two_theta | I/Imax | (hkl) |
| --- | --- | --- |
| 12.11 | 67 | 1 0 -1 |
| 30.95 | 30 | 2 1 -2 |
| 32.42 | 24 | 3 0 -2 |
| 37.73 | 100 | 2 1 1 |
| 38.11 | 23 | 0 2 0 |
| 68.63 | 21 | 2 3 1 |

Cell and atoms:
```
data_SmMg3Zn3
_space_group_name_H-M_alt 'P 1 21/m 1'
_space_group_IT_number 11
_cell_length_a 8.4317
_cell_length_b 4.7232
_cell_length_c 8.4390
_cell_angle_alpha 90.00
_cell_angle_beta 119.96
_cell_angle_gamma 90.00
loop_
_space_group_symop_operation_xyz
'x,y,z'
'-x,-y,-z'
'-x,y+1/2,-z'
'x,-y+1/2,z'
loop_
_atom_site_label
_atom_site_fract_x
_atom_site_fract_y
_atom_site_fract_z
Sm1 0.1669 0.2500 0.3332
Mg1 0.2522 0.2500 0.9802
Mg2 0.2715 0.7500 0.7519
Mg3 0.4804 0.7500 0.2285
Zn1 0.0244 0.2500 0.6036
Zn2 0.1036 0.7500 0.0790
Zn3 0.4205 0.7500 0.5243
```

[5]
This entry pairs a crystal structure of HoPd3Au6 with its calculated X-ray diffraction stick pattern. Radiation: Cu Kα (weighted mean of Kα1 and Kα2). Structure: the GGA-PBE geometry in Alexandria.

Peak list (6 most intense, 2θ = 10–90°, low angle first)
| two_theta | I/Imax | (hkl) |
| --- | --- | --- |
| 35.65 | 22 | 1 0 -4 |
| 37.08 | 42 | 0 2 0 |
| 39.90 | 50 | 2 1 2 |
| 40.36 | 100 | 3 1 -2 |
| 69.04 | 21 | 3 3 -2 |
| 75.77 | 21 | 5 2 0 |

Cell and atoms:
```
data_HoPd3Au6
_space_group_name_H-M_alt 'P 1 21/m 1'
_space_group_IT_number 11
_cell_length_a 7.7192
_cell_length_b 4.8496
_cell_length_c 10.0747
_cell_angle_alpha 90.00
_cell_angle_beta 108.13
_cell_angle_gamma 90.00
loop_
_space_group_symop_operation_xyz
'x,y,z'
'-x,-y,-z'
'-x,y+1/2,-z'
'x,-y+1/2,z'
loop_
_atom_site_label
_atom_site_fract_x
_atom_site_fract_y
_atom_site_fract_z
Ho1 0.2003 0.2500 0.1319
Pd1 0.0055 0.2500 0.3349
Pd2 0.2029 0.7500 0.4646
Pd3 0.4003 0.2500 0.9316
Au1 0.0043 0.2500 0.8250
Au2 0.1905 0.2500 0.6251
Au3 0.2073 0.7500 0.9608
Au4 0.3911 0.7500 0.7606
Au5 0.3986 0.2500 0.4360
Au6 0.4056 0.7500 0.2687
```

[6]
This entry pairs a crystal structure of Cs8H3I4Cl with its calculated X-ray diffraction stick pattern. Radiation: Cu Kα (weighted mean of Kα1 and Kα2). Structure: the GGA-PBE geometry in Alexandria.

Peak list (6 most intense, 2θ = 10–90°, low angle first)
| two_theta | I/Imax | (hkl) |
| --- | --- | --- |
| 20.37 | 20 | 0 2 1 |
| 24.47 | 100 | 0 2 4 |
| 26.64 | 26 | 2 0 5 |
| 34.61 | 32 | 2 0 8 |
| 35.14 | 41 | 2 2 0 |
| 43.28 | 21 | 4 0 4 |

Cell and atoms:
```
data_Cs8H3I4Cl
_space_group_name_H-M_alt 'R -3 m'
_space_group_IT_number 166
_space_group_name_Hall '-R 3 2"'
_cell_length_a 10.2154
_cell_length_b 10.2154
_cell_length_c 25.5896
_cell_angle_alpha 90.00
_cell_angle_beta 90.00
_cell_angle_gamma 120.00
loop_
_atom_site_label
_atom_site_fract_x
_atom_site_fract_y
_atom_site_fract_z
Cs1 0.0000 0.0000 0.2369
Cs2 0.0075 0.5038 0.7626
H1 0.0000 0.5000 0.5000
I1 0.0000 0.0000 0.0000
I2 0.0000 0.5000 0.0000
Cl1 0.0000 0.0000 0.5000
```

[7]
This entry pairs a crystal structure of Rb2Li2ThTe4 with its calculated X-ray diffraction stick pattern. Radiation: Cu Kα (weighted mean of Kα1 and Kα2). Structure: the GGA-PBE geometry in Alexandria.

Peak list (6 most intense, 2θ = 10–90°, low angle first)
| two_theta | I/Imax | (hkl) |
| --- | --- | --- |
| 11.12 | 37 | 2 0 0 |
| 25.47 | 35 | 3 1 0 |
| 28.10 | 41 | 4 0 1 |
| 28.28 | 100 | 1 1 -2 |
| 38.76 | 31 | 0 2 0 |
| 43.15 | 31 | 7 1 -2 |

Cell and atoms:
```
data_Rb2Li2ThTe4
_space_group_name_H-M_alt 'C 1 2/m 1'
_space_group_IT_number 12
_cell_length_a 16.8961
_cell_length_b 4.6463
_cell_length_c 8.6317
_cell_angle_alpha 90.00
_cell_angle_beta 109.68
_cell_angle_gamma 90.00
loop_
_space_group_symop_operation_xyz
'x,y,z'
'-x,-y,-z'
'-x,y,-z'
'x,-y,z'
'x+1/2,y+1/2,z'
'-x+1/2,-y+1/2,-z'
'-x+1/2,y+1/2,-z'
'x+1/2,-y+1/2,z'
loop_
_atom_site_label
_atom_site_fract_x
_atom_site_fract_y
_atom_site_fract_z
Rb1 0.1386 0.0000 0.0656
Li1 0.1813 0.5000 0.4873
Th1 0.0000 0.0000 0.5000
Te1 0.0162 0.5000 0.2629
Te2 0.1959 0.0000 0.6737
```

[8]
This entry pairs a crystal structure of Nd4Sm7Th with its calculated X-ray diffraction stick pattern. Radiation: Cu Kα (weighted mean of Kα1 and Kα2). Structure: the GGA-PBE geometry in Alexandria.

Peak list (6 most intense, 2θ = 10–90°, low angle first)
| two_theta | I/Imax | (hkl) |
| --- | --- | --- |
| 28.31 | 38 | 1 -2 0 |
| 30.30 | 48 | 0 0 3 |
| 31.23 | 100 | 2 0 -2 |
| 32.87 | 81 | 2 0 1 |
| 49.74 | 37 | 0 4 0 |
| 59.33 | 29 | 3 -2 2 |

Cell and atoms:
```
data_Nd4Sm7Th
_space_group_name_H-M_alt 'P -1'
_space_group_IT_number 2
_cell_length_a 6.3545
_cell_length_b 7.3277
_cell_length_c 9.1035
_cell_angle_alpha 90.02
_cell_angle_beta 103.55
_cell_angle_gamma 90.05
loop_
_space_group_symop_operation_xyz
'x,y,z'
'-x,-y,-z'
loop_
_atom_site_label
_atom_site_fract_x
_atom_site_fract_y
_atom_site_fract_z
Nd1 0.2225 0.0008 0.1649
Nd2 0.2765 0.2538 0.8286
Sm1 0.0000 0.0000 0.5000
Sm2 0.2162 0.5007 0.1733
Sm3 0.2757 0.7451 0.8278
Sm4 0.5002 0.2560 0.4996
Th1 0.0000 0.5000 0.5000
```

[9]
This entry pairs a crystal structure of Li2AcH8Rh with its calculated X-ray diffraction stick pattern. Radiation: Cu Kα (weighted mean of Kα1 and Kα2). Structure: the GGA-PBE geometry in Alexandria.

Peak list (6 most intense, 2θ = 10–90°, low angle first)
| two_theta | I/Imax | (hkl) |
| --- | --- | --- |
| 22.53 | 100 | 1 0 0 |
| 27.51 | 21 | 0 0 2 |
| 35.84 | 63 | 1 0 2 |
| 39.55 | 26 | 1 1 0 |
| 48.86 | 27 | 1 1 2 |
| 54.43 | 19 | 0 2 2 |

Cell and atoms:
```
data_Li2AcH8Rh
_space_group_name_H-M_alt 'P -3 m 1'
_space_group_IT_number 164
_space_group_name_Hall '-P 3 2"'
_cell_length_a 4.5569
_cell_length_b 4.5569
_cell_length_c 6.4845
_cell_angle_alpha 90.00
_cell_angle_beta 90.00
_cell_angle_gamma 120.00
loop_
_atom_site_label
_atom_site_fract_x
_atom_site_fract_y
_atom_site_fract_z
Li1 0.3333 0.6667 0.3922
Ac1 0.0000 0.0000 0.0000
H1 0.1700 0.3400 0.6507
H2 0.3333 0.6667 0.0689
Rh1 0.0000 0.0000 0.5000
```

[10]
This entry pairs a crystal structure of NdTh7 with its calculated X-ray diffraction stick pattern. Radiation: Cu Kα (weighted mean of Kα1 and Kα2). Structure: the GGA-PBE geometry in Alexandria.

Peak list (6 most intense, 2θ = 10–90°, low angle first)
| two_theta | I/Imax | (hkl) |
| --- | --- | --- |
| 30.60 | 100 | 2 2 2 |
| 35.49 | 51 | 4 0 0 |
| 51.06 | 37 | 4 4 0 |
| 60.71 | 45 | 6 2 2 |
| 83.24 | 19 | 6 6 2 |
| 85.91 | 18 | 8 4 0 |

Cell and atoms:
```
data_NdTh7
_space_group_name_H-M_alt 'F m -3 m'
_space_group_IT_number 225
_space_group_name_Hall '-F 4 2 3'
_cell_length_a 10.1191
_cell_length_b 10.1191
_cell_length_c 10.1191
_cell_angle_alpha 90.00
_cell_angle_beta 90.00
_cell_angle_gamma 90.00
loop_
_atom_site_label
_atom_site_fract_x
_atom_site_fract_y
_atom_site_fract_z
Nd1 0.0000 0.0000 0.0000
Th1 0.0000 0.0000 0.5000
Th2 0.0000 0.2500 0.2500
```